For KPrSe4, the GGA-PBE geometry in OQMD gives the computed powder X-ray diffraction pattern in this record (λ = 1.5418 Å (Cu Kα)).
Neutral-atom scattering factors, no anomalous dispersion.

Cell: 6.409 6.409 8.466 Å, 90.00 90.00 90.00°
Sites, in units of the cell vectors:
K1 0.250 0.250 0.000
K2 0.750 0.750 0.000
Pr1 0.250 0.250 0.500
Pr2 0.750 0.750 0.500
Se1 0.116 0.616 0.284
Se2 0.116 0.884 0.716
Se3 0.384 0.616 0.716
Se4 0.384 0.884 0.284
Se5 0.616 0.116 0.716
Se6 0.616 0.384 0.284
Se7 0.884 0.116 0.284
Se8 0.884 0.384 0.716

Top 10 peaks for 5 to 70 degrees two-theta, by angle:
hkl 0 0 1, 10.45 deg, rel. 742
hkl 1 1 2, 28.86 deg, rel. 1000
hkl 2 1 1, 32.99 deg, rel. 772
hkl 2 0 2, 35.12 deg, rel. 283
hkl 1 1 3, 37.55 deg, rel. 176
hkl 0 0 4, 42.71 deg, rel. 188
hkl 3 1 0, 44.71 deg, rel. 385
hkl 2 1 3, 45.09 deg, rel. 213
hkl 4 0 2, 61.92 deg, rel. 251
hkl 3 1 4, 63.56 deg, rel. 182